No. 1
For Ca6CdAg3, a PBE-relaxed structure gives the calculated powder diffractogram in this record (a wavelength of 1.5418 Å).
Kinematic intensities with the Lorentz-polarization factor, no thermal factor.

Most intense lines, 5° ≤ 2θ ≤ 70°, by intensity:
| two_theta | I (rel.) |
| --- | --- |
| 32.39 | 100 |
| 34.21 | 64 |
| 19.79 | 55 |
| 32.67 | 55 |
| 41.08 | 45 |
| 12.63 | 39 |
| 37.67 | 36 |
| 33.55 | 30 |
| 21.42 | 30 |
| 8.29 | 28 |

Structural model:
Cell: 11.3984 4.3941 13.4742 Å, 90.00 110.72 90.00°
Sites, in units of the cell vectors:
Ca1 0.0192 0.2500 0.3835
Ca2 0.0798 0.2500 0.9030
Ca3 0.2408 0.7500 0.3227
Ca4 0.3367 0.7500 0.7943
Ca5 0.3389 0.7500 0.0960
Ca6 0.3927 0.2500 0.5614
Ca7 0.6073 0.7500 0.4386
Ca8 0.6611 0.2500 0.9040
Ca9 0.6633 0.2500 0.2057
Ca10 0.7592 0.2500 0.6773
Ca11 0.9202 0.7500 0.0970
Ca12 0.9808 0.7500 0.6165
Cd1 0.4228 0.2500 0.2900
Cd2 0.5772 0.7500 0.7100
Ag1 0.1399 0.2500 0.1540
Ag2 0.1953 0.7500 0.5356
Ag3 0.4098 0.2500 0.9682
Ag4 0.5902 0.7500 0.0318
Ag5 0.8047 0.2500 0.4644
Ag6 0.8601 0.7500 0.8460

***

No. 2
For CaCd8Ag6, a PBE-relaxed structure gives the calculated powder diffractogram in this record (a wavelength of 1.5418 Å).
Kinematic intensities with the Lorentz-polarization factor, no thermal factor.

Most intense lines, 5° ≤ 2θ ≤ 70°, by intensity:
| two_theta | I (rel.) |
| --- | --- |
| 38.32 | 100 |
| 37.97 | 88 |
| 55.04 | 27 |
| 21.65 | 25 |
| 68.82 | 23 |
| 34.99 | 14 |
| 68.57 | 13 |
| 32.69 | 12 |
| 16.18 | 8 |
| 39.56 | 8 |

Structural model:
Cell: 7.4356 7.4356 7.4356 Å, 67.01 67.01 67.01°
Sites, in units of the cell vectors:
Ca1 0.0000 0.0000 0.0000
Cd1 0.1349 0.8021 0.4414
Cd2 0.1979 0.5586 0.8651
Cd3 0.2741 0.2741 0.2741
Cd4 0.4414 0.1349 0.8021
Cd5 0.5586 0.8651 0.1979
Cd6 0.7259 0.7259 0.7259
Cd7 0.8021 0.4414 0.1349
Cd8 0.8651 0.1979 0.5586
Ag1 0.0802 0.3770 0.6706
Ag2 0.3294 0.9198 0.6230
Ag3 0.3770 0.6706 0.0802
Ag4 0.6230 0.3294 0.9198
Ag5 0.6706 0.0802 0.3770
Ag6 0.9198 0.6230 0.3294

***

No. 3
For CaCd5Ag6, a PBE-relaxed structure gives the calculated powder diffractogram in this record (a wavelength of 1.5418 Å).
Kinematic intensities with the Lorentz-polarization factor, no thermal factor.

Most intense lines, 5° ≤ 2θ ≤ 70°, by intensity:
| two_theta | I (rel.) |
| --- | --- |
| 36.37 | 100 |
| 38.25 | 22 |
| 39.16 | 20 |
| 69.15 | 14 |
| 55.89 | 14 |
| 48.68 | 10 |
| 64.18 | 8 |
| 67.85 | 7 |
| 67.99 | 7 |
| 63.44 | 4 |

Structural model:
Cell: 8.1918 8.1918 4.7062 Å, 106.62 106.62 114.80°
Sites, in units of the cell vectors:
Ca1 0.0000 0.0000 0.0000
Cd1 0.1597 0.8403 0.5000
Cd2 0.3282 0.6718 0.0000
Cd3 0.5000 0.5000 0.5000
Cd4 0.6718 0.3282 0.0000
Cd5 0.8403 0.1597 0.5000
Ag1 0.0902 0.4336 0.2625
Ag2 0.2683 0.2683 0.7677
Ag3 0.4336 0.0902 0.2625
Ag4 0.5664 0.9098 0.7375
Ag5 0.7317 0.7317 0.2323
Ag6 0.9098 0.5664 0.7375

***

No. 4
For Ca3Cd4Ag4, a PBE-relaxed structure gives the calculated powder diffractogram in this record (a wavelength of 1.5418 Å).
Kinematic intensities with the Lorentz-polarization factor, no thermal factor.

Most intense lines, 5° ≤ 2θ ≤ 70°, by intensity:
| two_theta | I (rel.) |
| --- | --- |
| 34.43 | 100 |
| 36.09 | 84 |
| 35.96 | 42 |
| 35.62 | 41 |
| 16.75 | 23 |
| 49.93 | 17 |
| 49.03 | 16 |
| 63.06 | 15 |
| 62.84 | 15 |
| 62.59 | 14 |

Structural model:
Cell: 3.6528 5.7123 13.1124 Å, 78.92 90.00 71.38°
Sites, in units of the cell vectors:
Ca1 0.0000 0.0000 0.0000
Ca2 0.1915 0.6160 0.2754
Ca3 0.8085 0.3840 0.7246
Cd1 0.3649 0.2721 0.5258
Cd2 0.4463 0.1054 0.1886
Cd3 0.5537 0.8946 0.8114
Cd4 0.6351 0.7279 0.4742
Ag1 0.0675 0.8647 0.6346
Ag2 0.2614 0.4776 0.9125
Ag3 0.7386 0.5224 0.0875
Ag4 0.9325 0.1353 0.3654

***

No. 5
For Ca6CdAg, a PBE-relaxed structure gives the calculated powder diffractogram in this record (a wavelength of 1.5418 Å).
Kinematic intensities with the Lorentz-polarization factor, no thermal factor.

Most intense lines, 5° ≤ 2θ ≤ 70°, by intensity:
| two_theta | I (rel.) |
| --- | --- |
| 30.08 | 100 |
| 9.37 | 73 |
| 33.14 | 46 |
| 57.31 | 29 |
| 37.00 | 24 |
| 47.57 | 15 |
| 34.51 | 14 |
| 18.80 | 13 |
| 45.14 | 13 |
| 51.39 | 12 |

Structural model:
Cell: 10.1864 10.1864 10.1864 Å, 149.22 149.22 44.09°
Sites, in units of the cell vectors:
Ca1 0.0972 0.5972 0.5000
Ca2 0.2489 0.2489 0.0000
Ca3 0.4028 0.9028 0.5000
Ca4 0.5972 0.0972 0.5000
Ca5 0.7511 0.7511 0.0000
Ca6 0.9028 0.4028 0.5000
Cd1 0.0000 0.0000 0.0000
Ag1 0.5000 0.5000 0.0000

***

No. 6
For Ca2Cd3Ag2, a PBE-relaxed structure gives the calculated powder diffractogram in this record (a wavelength of 1.5418 Å).
Kinematic intensities with the Lorentz-polarization factor, no thermal factor.

Most intense lines, 5° ≤ 2θ ≤ 70°, by intensity:
| two_theta | I (rel.) |
| --- | --- |
| 36.06 | 100 |
| 17.80 | 68 |
| 38.52 | 60 |
| 35.84 | 51 |
| 31.54 | 47 |
| 32.57 | 40 |
| 46.14 | 28 |
| 42.35 | 28 |
| 31.21 | 26 |
| 68.09 | 19 |

Structural model:
Cell: 5.9093 5.9093 7.2540 Å, 108.33 108.33 46.60°
Sites, in units of the cell vectors:
Ca1 0.1369 0.1369 0.2512
Ca2 0.8631 0.8631 0.7488
Cd1 0.1563 0.1563 0.7269
Cd2 0.5000 0.5000 0.5000
Cd3 0.8437 0.8437 0.2731
Ag1 0.3929 0.3929 0.0716
Ag2 0.6071 0.6071 0.9284

***

No. 7
For Ca3Cd2Ag2, a PBE-relaxed structure gives the calculated powder diffractogram in this record (a wavelength of 1.5418 Å).
Kinematic intensities with the Lorentz-polarization factor, no thermal factor.

Most intense lines, 5° ≤ 2θ ≤ 70°, by intensity:
| two_theta | I (rel.) |
| --- | --- |
| 19.11 | 100 |
| 31.10 | 50 |
| 31.37 | 46 |
| 41.07 | 43 |
| 34.33 | 42 |
| 34.72 | 40 |
| 38.78 | 35 |
| 32.31 | 32 |
| 31.88 | 30 |
| 57.74 | 28 |

Structural model:
Cell: 4.3960 5.8951 7.8550 Å, 85.96 89.36 68.50°
Sites, in units of the cell vectors:
Ca1 0.0000 0.0000 0.0000
Ca2 0.3693 0.2611 0.6410
Ca3 0.6307 0.7389 0.3590
Cd1 0.3090 0.3928 0.1446
Cd2 0.6910 0.6072 0.8554
Ag1 0.0810 0.8302 0.6412
Ag2 0.9190 0.1698 0.3588

***

No. 8
For CaCd2Ag9, a PBE-relaxed structure gives the calculated powder diffractogram in this record (a wavelength of 1.5418 Å).
Kinematic intensities with the Lorentz-polarization factor, no thermal factor.

Most intense lines, 5° ≤ 2θ ≤ 70°, by intensity:
| two_theta | I (rel.) |
| --- | --- |
| 41.12 | 100 |
| 34.37 | 52 |
| 34.96 | 44 |
| 40.10 | 38 |
| 42.68 | 33 |
| 15.44 | 23 |
| 36.77 | 21 |
| 62.33 | 20 |
| 66.91 | 20 |
| 14.10 | 20 |

Structural model:
Cell: 8.9414 8.9414 8.9414 Å, 100.15 100.15 130.37°
Sites, in units of the cell vectors:
Ca1 0.3750 0.6250 0.7500
Ca2 0.6250 0.3750 0.2500
Cd1 0.0000 0.0000 0.0000
Cd2 0.0000 0.0000 0.5000
Cd3 0.0000 0.5000 0.0000
Cd4 0.5000 0.0000 0.5000
Ag1 0.1250 0.8750 0.2500
Ag2 0.1317 0.5540 0.3353
Ag3 0.1317 0.7964 0.5777
Ag4 0.2036 0.2813 0.3353
Ag5 0.2036 0.8683 0.9223
Ag6 0.2813 0.2036 0.8353
Ag7 0.2813 0.4460 0.0777
Ag8 0.4460 0.2813 0.5777
Ag9 0.4460 0.8683 0.1647
Ag10 0.5540 0.1317 0.8353
Ag11 0.5540 0.7187 0.4223
Ag12 0.7187 0.5540 0.9223
Ag13 0.7187 0.7964 0.1647
Ag14 0.7964 0.1317 0.0777
Ag15 0.7964 0.7187 0.6647
Ag16 0.8683 0.2036 0.4223
Ag17 0.8683 0.4460 0.6647
Ag18 0.8750 0.1250 0.7500